Diffraction record for NaCr2O4. The XRD peak list is calculated, not measured: it uses DFT lattice parameters and positions (GGA+U) and copper Kα.

Atomic structure:
Lattice parameters (Å, degrees): 5.960 11.419 5.096 90.00 90.00 90.00
Positions (direct):
Na: 0.250 0.250 0.030
Na: 0.250 0.750 0.357
Na: 0.750 0.250 0.643
Na: 0.750 0.750 0.970
Cr: 0.000 0.000 0.500
Cr: 0.000 0.500 0.500
Cr: 0.250 0.506 0.997
Cr: 0.250 0.994 0.997
Cr: 0.500 0.000 0.500
Cr: 0.500 0.500 0.500
Cr: 0.750 0.006 0.003
Cr: 0.750 0.494 0.003
O: 0.002 0.092 0.841
O: 0.002 0.408 0.841
O: 0.250 0.083 0.314
O: 0.250 0.417 0.314
O: 0.250 0.588 0.673
O: 0.250 0.912 0.673
O: 0.498 0.092 0.841
O: 0.498 0.408 0.841
O: 0.502 0.592 0.159
O: 0.502 0.908 0.159
O: 0.750 0.088 0.327
O: 0.750 0.412 0.327
O: 0.750 0.583 0.686
O: 0.750 0.917 0.686
O: 0.998 0.592 0.159
O: 0.998 0.908 0.159

Peak list (10 most intense, 2θ = 10–90°, in order of falling intensity)
(hkl)	Position (°2θ)	I (rel.)
0 2 0	15.52	100.0
2 4 1	47.58	25.4
2 2 1	38.38	23.2
0 4 2	47.85	13.3
2 0 1	34.88	12.2
2 6 1	60.51	10.8
0 4 0	31.33	10.5
0 2 2	38.70	9.8
2 0 3	62.99	9.8
2 3 1	42.41	8.4